1.
Simulated XRD peak list of CaReO3 for copper Kα, from a DFT-relaxed cell (PBE, Alexandria).
Neutral-atom scattering factors, no anomalous dispersion.

Principal peaks in the range 2θ = 10–90°, by angle:
hkl 0 2 0, 17.4°, 5.106 Å, intensity 58.5; hkl 0 1 1, 19.2°, 4.631 Å, intensity 100.0; hkl 1 0 1, 22.4°, 3.976 Å, intensity 34.0; hkl 0 3 1, 31.4°, 2.847 Å, intensity 44.6; hkl 2 2 0, 33.9°, 2.642 Å, intensity 22.9; hkl 0 0 2, 34.5°, 2.598 Å, intensity 18.7; hkl 2 1 1, 34.9°, 2.569 Å, intensity 37.5; hkl 0 2 2, 38.9°, 2.315 Å, intensity 15.0; hkl 2 2 2, 49.2°, 1.853 Å, intensity 15.0; hkl 3 2 1, 51.0°, 1.792 Å, intensity 22.1

Structure:
```
data_CaReO3
_cell_length_a 6.1761
_cell_length_b 10.2127
_cell_length_c 5.1956
_cell_angle_alpha 90.00
_cell_angle_beta 90.00
_cell_angle_gamma 90.00
_symmetry_space_group_name_H-M 'I m m 2'
_symmetry_Int_Tables_number 44
loop_
_symmetry_equiv_pos_as_xyz
'x,y,z'
'-x,-y,z'
'-x,y,z'
'x,-y,z'
'x+1/2,y+1/2,z+1/2'
'-x+1/2,-y+1/2,z+1/2'
'-x+1/2,y+1/2,z+1/2'
'x+1/2,-y+1/2,z+1/2'
loop_
_atom_site_label
_atom_site_type_symbol
_atom_site_fract_x
_atom_site_fract_y
_atom_site_fract_z
Ca1 Ca 0.0000 0.1783 0.0000
Re1 Re 0.1880 0.5000 0.9899
O1 O 0.2272 0.0000 0.1529
O2 O 0.2474 0.3438 0.1496
```

2.
Simulated XRD peak list of KInO2 for copper Kα, from a DFT-relaxed cell (PBE, Alexandria).
Neutral-atom scattering factors, no anomalous dispersion.

Principal peaks in the range 2θ = 10–90°, by angle:
hkl 1 1 1, 18.2°, 4.877 Å, intensity 100.0; hkl 2 2 0, 29.5°, 3.026 Å, intensity 70.6; hkl 0 2 2, 30.0°, 2.976 Å, intensity 98.3; hkl 2 0 2, 30.2°, 2.958 Å, intensity 100.0; hkl 0 4 0, 41.9°, 2.154 Å, intensity 22.6; hkl 4 0 0, 42.5°, 2.126 Å, intensity 21.7; hkl 2 4 2, 52.6°, 1.741 Å, intensity 37.8; hkl 4 2 2, 52.9°, 1.730 Å, intensity 36.4; hkl 2 2 4, 53.9°, 1.702 Å, intensity 44.5; hkl 4 4 0, 61.3°, 1.513 Å, intensity 12.4

Structure:
```
data_KInO2
_cell_length_a 8.5044
_cell_length_b 8.6156
_cell_length_c 8.2344
_cell_angle_alpha 90.00
_cell_angle_beta 90.00
_cell_angle_gamma 90.00
_symmetry_space_group_name_H-M 'F d d 2'
_symmetry_Int_Tables_number 43
_symmetry_space_group_name_Hall 'F 2 -2d'
loop_
_atom_site_label
_atom_site_type_symbol
_atom_site_fract_x
_atom_site_fract_y
_atom_site_fract_z
K1 K 0.0000 0.0000 0.0000
In1 In 0.0000 0.0000 0.4962
O1 O 0.0421 0.2079 0.6184
```

3.
Simulated XRD peak list of Tl4InHg3 for copper Kα, from a DFT-relaxed cell (PBE, Alexandria).
Neutral-atom scattering factors, no anomalous dispersion.

Principal peaks in the range 2θ = 10–90°, by angle:
hkl 1 1 1, 32.1°, 2.791 Å, intensity 96.6; hkl 0 1 4, 32.3°, 2.769 Å, intensity 100.0; hkl 1 0 3, 32.7°, 2.735 Å, intensity 43.8; hkl 0 2 0, 35.9°, 2.502 Å, intensity 40.2; hkl 1 1 3, 37.5°, 2.400 Å, intensity 19.3; hkl 1 0 5, 42.8°, 2.112 Å, intensity 20.1; hkl 1 2 3, 49.4°, 1.846 Å, intensity 28.3; hkl 1 2 5, 57.1°, 1.614 Å, intensity 17.5; hkl 0 3 4, 62.3°, 1.491 Å, intensity 15.6; hkl 2 1 4, 63.2°, 1.472 Å, intensity 29.9

Structure:
```
data_Tl4InHg3
_cell_length_a 3.4748
_cell_length_b 5.0050
_cell_length_c 13.2994
_cell_angle_alpha 90.00
_cell_angle_beta 90.00
_cell_angle_gamma 90.00
_symmetry_space_group_name_H-M 'P m m 2'
_symmetry_Int_Tables_number 25
loop_
_symmetry_equiv_pos_as_xyz
'x,y,z'
'-x,-y,z'
'-x,y,z'
'x,-y,z'
loop_
_atom_site_label
_atom_site_type_symbol
_atom_site_fract_x
_atom_site_fract_y
_atom_site_fract_z
Tl1 Tl 0.0000 0.0000 0.0000
Tl2 Tl 0.0000 0.5000 0.3477
Tl3 Tl 0.5000 0.0000 0.4955
Tl4 Tl 0.5000 0.5000 0.8509
In1 In 0.0000 0.0000 0.7370
Hg1 Hg 0.0000 0.5000 0.6021
Hg2 Hg 0.5000 0.0000 0.2416
Hg3 Hg 0.5000 0.5000 0.1058
```